1.
This entry pairs a crystal structure of Dy4Bi6O19 with its theoretical PXRD pattern. Radiation: Cu Kα X-rays. Structure: a DFT-relaxed cell (PBE, Alexandria).
Kinematic intensities with the Lorentz-polarization factor, no thermal factor.

Peak list (12 most intense, 2θ = 10–80°, by angle)
| two_theta | Rel. int. |
| --- | --- |
| 18.33 | 18.4 |
| 22.50 | 44.5 |
| 29.17 | 100.0 |
| 32.03 | 24.1 |
| 34.67 | 70.4 |
| 45.92 | 19.7 |
| 47.91 | 45.7 |
| 51.72 | 17.5 |
| 55.33 | 13.8 |
| 57.08 | 21.1 |
| 58.80 | 24.1 |
| 65.38 | 18.0 |

Crystal structure
Cell lengths 8.3840, 8.3840, 8.3840 Å; angles 109.47, 109.47, 109.47 degrees
Fractional positions:
Dy1 0.0000 0.0000 0.2848
Dy2 0.0000 0.2848 0.0000
Dy3 0.2848 0.0000 0.0000
Dy4 0.7152 0.7152 0.7152
Bi1 0.1763 0.5000 0.6763
Bi2 0.3237 0.8237 0.5000
Bi3 0.5000 0.3237 0.8237
Bi4 0.5000 0.6763 0.1763
Bi5 0.6763 0.1763 0.5000
Bi6 0.8237 0.5000 0.3237
O1 0.0000 0.0000 0.0000
O2 0.0000 0.3536 0.3536
O3 0.0000 0.6464 0.6464
O4 0.0212 0.7660 0.3404
O5 0.2340 0.2552 0.5745
O6 0.2552 0.5745 0.2340
O7 0.3193 0.7448 0.9788
O8 0.3404 0.0212 0.7660
O9 0.3536 0.0000 0.3536
O10 0.3536 0.3536 0.0000
O11 0.4255 0.6807 0.6596
O12 0.5745 0.2340 0.2552
O13 0.6464 0.0000 0.6464
O14 0.6464 0.6464 0.0000
O15 0.6596 0.4255 0.6807
O16 0.6807 0.6596 0.4255
O17 0.7448 0.9788 0.3193
O18 0.7660 0.3404 0.0212
O19 0.9788 0.3193 0.7448

2.
This entry pairs a crystal structure of DyBi2O6 with its theoretical PXRD pattern. Radiation: Cu Kα X-rays. Structure: a DFT-relaxed cell (PBE, Alexandria).
Kinematic intensities with the Lorentz-polarization factor, no thermal factor.

Peak list (12 most intense, 2θ = 10–80°, by angle)
| two_theta | Rel. int. |
| --- | --- |
| 28.49 | 100.0 |
| 32.93 | 11.4 |
| 33.06 | 23.2 |
| 47.39 | 50.7 |
| 56.12 | 15.0 |
| 56.28 | 30.9 |
| 58.96 | 9.8 |
| 69.36 | 5.3 |
| 76.48 | 12.4 |
| 76.62 | 6.8 |
| 78.74 | 4.3 |
| 78.97 | 9.3 |

Crystal structure
Cell lengths 8.5972, 8.5972, 8.5972 Å; angles 154.24, 154.24, 36.75 degrees
Fractional positions:
Dy1 0.0000 0.0000 0.0000
Bi1 0.3378 0.3378 0.0000
Bi2 0.6622 0.6622 0.0000
O1 0.0853 0.5853 0.5000
O2 0.2500 0.7500 0.5000
O3 0.4147 0.9147 0.5000
O4 0.5853 0.0853 0.5000
O5 0.7500 0.2500 0.5000
O6 0.9147 0.4147 0.5000

3.
This entry pairs a crystal structure of DyBiOsO6 with its theoretical PXRD pattern. Radiation: Cu Kα X-rays. Structure: a DFT-relaxed cell (PBE, Alexandria).
Kinematic intensities with the Lorentz-polarization factor, no thermal factor.

Peak list (12 most intense, 2θ = 10–80°, by angle)
| two_theta | Rel. int. |
| --- | --- |
| 26.19 | 100.0 |
| 32.19 | 52.4 |
| 37.40 | 16.5 |
| 41.96 | 29.1 |
| 50.18 | 42.3 |
| 53.85 | 28.3 |
| 57.39 | 15.4 |
| 60.95 | 9.7 |
| 70.54 | 11.8 |
| 73.58 | 11.5 |
| 79.66 | 10.7 |
| 79.74 | 9.4 |

Crystal structure
Cell lengths 5.5623, 5.5623, 9.6110 Å; angles 90.00, 90.00, 120.00 degrees
Fractional positions:
Dy1 0.3333 0.6667 0.2500
Dy2 0.6667 0.3333 0.7500
Bi1 0.0000 0.0000 0.0000
Bi2 0.0000 0.0000 0.5000
Os1 0.3333 0.6667 0.7500
Os2 0.6667 0.3333 0.2500
O1 0.0414 0.3786 0.6358
O2 0.0414 0.6628 0.8642
O3 0.3372 0.3786 0.8642
O4 0.3372 0.9586 0.6358
O5 0.3786 0.0414 0.1358
O6 0.3786 0.3372 0.3642
O7 0.6214 0.6628 0.6358
O8 0.6214 0.9586 0.8642
O9 0.6628 0.0414 0.3642
O10 0.6628 0.6214 0.1358
O11 0.9586 0.3372 0.1358
O12 0.9586 0.6214 0.3642

4.
This entry pairs a crystal structure of Pm2DyBi2O2 with its theoretical PXRD pattern. Radiation: Cu Kα X-rays. Structure: a DFT-relaxed cell (PBE, Alexandria).
Kinematic intensities with the Lorentz-polarization factor, no thermal factor.

Peak list (12 most intense, 2θ = 10–80°, by angle)
| two_theta | Rel. int. |
| --- | --- |
| 28.72 | 74.2 |
| 33.59 | 100.0 |
| 41.06 | 33.5 |
| 54.05 | 52.6 |
| 54.67 | 5.4 |
| 59.47 | 11.3 |
| 62.92 | 12.4 |
| 64.65 | 4.0 |
| 67.36 | 13.9 |
| 70.06 | 12.2 |
| 70.60 | 10.1 |
| 79.51 | 4.5 |

Crystal structure
Cell lengths 8.9508, 8.9508, 8.9508 Å; angles 151.57, 151.57, 40.65 degrees
Fractional positions:
Pm1 0.1097 0.1097 0.0000
Pm2 0.8903 0.8903 0.0000
Dy1 0.5000 0.5000 0.0000
Bi1 0.3093 0.3093 0.0000
Bi2 0.6907 0.6907 0.0000
O1 0.0000 0.5000 0.5000
O2 0.5000 0.0000 0.5000